This entry pairs a crystal structure of Cu2HgPS4 with its computed XRD peak list. Radiation: a wavelength of 1.5418 Å. Structure: DFT lattice parameters and positions (GGA-PBE).
No peak broadening, texture or thermal motion is included.

Main lines, sorted by position (2θ = 10–80°):
- 17.90°, I 72, (1 1 1)
- 28.55°, I 76, (0 2 2)
- 29.32°, I 100, (2 0 2)
- 30.43°, I 35, (2 2 0)
- 32.91°, I 34, (1 1 3)
- 34.89°, I 33, (1 3 1)
- 36.16°, I 23, (3 1 1)
- 50.34°, I 48, (2 2 4)
- 52.46°, I 35, (2 4 2)
- 53.84°, I 26, (4 2 2)

Structure:
Cell: 8.122 8.511 9.214 Å, 90.00 90.00 90.00°
Space group Fmm2 (No. 42)
Symmetry-distinct sites (fractional):
Cu: 0.250 0.250 0.000 [8 per cell]
Hg: 0.000 0.000 0.281 [4 per cell]
P: 0.000 0.000 0.747 [4 per cell]
S: 0.000 0.203 0.878 [8 per cell]
S: 0.207 0.000 0.612 [8 per cell]